This entry pairs a crystal structure of Ta5Ru4Rh with its computed powder X-ray diffraction pattern. Radiation: CuKα. Structure: a structure optimized by DFT (PBE).
Intensities are scaled so that the largest is 100.

Cell and atoms:
Cell: 3.0238 3.0238 17.6206 Å, 90.00 90.00 90.00°
Positions (direct):
Ta (0.0000, 0.0000, 0.0000)
Ta (0.0000, 0.0000, 0.1978)
Ta (0.0000, 0.0000, 0.3949)
Ta (0.0000, 0.0000, 0.6051)
Ta (0.0000, 0.0000, 0.8022)
Ru (0.5000, 0.5000, 0.1050)
Ru (0.5000, 0.5000, 0.2927)
Ru (0.5000, 0.5000, 0.7073)
Ru (0.5000, 0.5000, 0.8950)
Rh (0.5000, 0.5000, 0.5000)

Principal peaks in the range 15 to 90 degrees two-theta, by angle:
- 3.524 Å, 2θ 25.3, I 5.5, hkl 0 0 5
- 3.024 Å, 2θ 29.5, I 7.4, hkl 1 0 0
- 2.295 Å, 2θ 39.3, I 100.0, hkl 1 0 5
- 2.138 Å, 2θ 42.3, I 41.4, hkl 1 1 0
- 1.762 Å, 2θ 51.9, I 10.6, hkl 0 0 10
- 1.512 Å, 2θ 61.3, I 13.8, hkl 2 0 0
- 1.360 Å, 2θ 69.1, I 17.8, hkl 1 1 10
- 1.263 Å, 2θ 75.3, I 29.6, hkl 2 1 5
- 1.147 Å, 2θ 84.4, I 10.5, hkl 2 0 10
- 1.095 Å, 2θ 89.5, I 8.5, hkl 1 0 15

=====

This entry pairs a crystal structure of TaRuRh2 with its computed powder X-ray diffraction pattern. Radiation: CuKα. Structure: a structure optimized by DFT (PBE).
Intensities are scaled so that the largest is 100.

Cell and atoms:
Cell: 3.8873 3.8873 3.9223 Å, 90.00 90.00 90.00°
Positions (direct):
Ta (0.0000, 0.0000, 0.0000)
Ru (0.5000, 0.5000, 0.0000)
Rh (0.0000, 0.5000, 0.5000)
Rh (0.5000, 0.0000, 0.5000)

Principal peaks in the range 15 to 90 degrees two-theta, by angle:
- 3.887 Å, 2θ 22.9, I 4.7, hkl 1 0 0
- 2.761 Å, 2θ 32.4, I 4.1, hkl 1 0 1
- 2.251 Å, 2θ 40.1, I 100.0, hkl 1 1 1
- 1.961 Å, 2θ 46.3, I 16.5, hkl 0 0 2
- 1.944 Å, 2θ 46.7, I 32.1, hkl 2 0 0
- 1.381 Å, 2θ 67.9, I 20.7, hkl 2 0 2
- 1.374 Å, 2θ 68.2, I 10.2, hkl 2 2 0
- 1.181 Å, 2θ 81.5, I 12.5, hkl 1 1 3
- 1.173 Å, 2θ 82.2, I 24.5, hkl 3 1 1
- 1.126 Å, 2θ 86.5, I 10.9, hkl 2 2 2